Diffraction record for Fe5Co3O16. The X-ray diffraction stick pattern is theoretical, not measured: it uses the PBE+U geometry in the Materials Project and copper Kα.

Cell and atoms:
```
Fe5Co3O16
1.0
5.677 0.000 0.000
-2.832 4.934 0.000
-0.041 -0.136 9.015
Fe Co O
5 3 16
Direct
0.000 0.000 0.000 Fe
0.007 0.509 0.218 Fe
0.342 0.174 0.717 Fe
0.500 0.000 0.000 Fe
0.835 0.167 0.498 Fe
0.332 0.665 0.501 Co
0.501 0.498 0.001 Co
0.835 0.666 0.501 Co
0.005 0.505 0.609 O
0.148 0.795 0.386 O
0.155 0.358 0.380 O
0.188 0.316 0.881 O
0.188 0.870 0.879 O
0.335 0.170 0.109 O
0.348 0.674 0.106 O
0.504 0.991 0.607 O
0.510 0.517 0.607 O
0.629 0.316 0.883 O
0.664 0.827 0.393 O
0.664 0.828 0.893 O
0.705 0.358 0.380 O
0.826 0.158 0.108 O
0.826 0.673 0.109 O
0.992 0.992 0.608 O
```

Peak list (12 most intense, 10° ≤ 2θ ≤ 90°, sorted by position)
hkl  2θ/deg  d/Å  Rel. int.
0 0 2  19.70  4.507  1000
0 1 -1  20.42  4.349  444
1 -1 1  20.57  4.318  415
1 0 1  20.65  4.300  412
-1 1 2  26.83  3.323  147
0 1 2  26.98  3.304  148
1 1 2  37.57  2.394  314
2 -2 1  37.94  2.372  350
0 2 2  42.02  2.150  155
0 2 3  48.06  1.893  243
2 -4 0  65.61  1.423  309
4 -2 0  65.80  1.419  154